Calculated powder X-ray diffraction pattern
Compound: LaCe2InSn2
Radiation: Cu Kα X-rays
Structure: DFT lattice parameters and positions (PBE)

Main lines, by angle (5 to 70 degrees two-theta):
2θ/deg, I/Imax
15.19, 261
20.13, 184
25.31, 391
28.62, 1000
30.65, 412
32.55, 168
40.92, 383
42.43, 680
51.98, 376
67.10, 178

a = 7.3135 Å, b = 7.3135 Å, c = 7.3135 Å
α = 129.51°, β = 129.51°, γ = 74.19°
Sites, in units of the cell vectors:
La: 0.0000 0.0000 0.0000
Ce: 0.2500 0.7500 0.5000
Ce: 0.7500 0.2500 0.5000
In: 0.5000 0.5000 0.0000
Sn: 0.2592 0.2592 0.0000
Sn: 0.7408 0.7408 0.0000